No. 1
Structure and theoretical powder diffractogram of Ba2CaV2FeF14 (a crystal structure in the Materials Project, relaxed with GGA+U; Cu Kα (λ = 1.5418 Å)).
Neutral-atom scattering factors, no anomalous dispersion.

Top 6 peaks for 2θ from 15° to 90°, low angle first:
- 2θ = 23.35°, intensity 28, hkl 0 0 4
- 2θ = 25.19°, intensity 100, hkl 3 1 0
- 2θ = 26.39°, intensity 25, hkl 2 0 -4
- 2θ = 29.18°, intensity 33, hkl 1 1 -4
- 2θ = 29.43°, intensity 27, hkl 1 1 4
- 2θ = 40.68°, intensity 25, hkl 0 2 4

Atomic structure:
```
data_Ba2CaV2FeF14
_chemical_formula_sum 'Ba8 Ca4 V8 Fe4 F56'
_space_group_name_H-M_alt 'C 1 2/c 1'
_space_group_IT_number 15
_cell_length_a 13.9278
_cell_length_b 5.4561
_cell_length_c 15.2432
_cell_angle_alpha 90.00
_cell_angle_beta 91.39
_cell_angle_gamma 90.00
loop_
_space_group_symop_operation_xyz
'x,y,z'
'-x,-y,-z'
'-x,y,-z+1/2'
'x,-y,z+1/2'
'x+1/2,y+1/2,z'
'-x+1/2,-y+1/2,-z'
'-x+1/2,y+1/2,-z+1/2'
'x+1/2,-y+1/2,z+1/2'
loop_
_atom_site_label
_atom_site_fract_x
_atom_site_fract_y
_atom_site_fract_z
Ba1 0.1904 0.0456 0.1218
Ca1 0.0000 0.4463 0.7500
V1 0.1200 0.0004 0.3763
Fe1 0.0000 0.5000 0.0000
F1 0.0104 0.0929 0.6575
F2 0.0548 0.4115 0.1201
F3 0.0852 0.1852 0.4840
F4 0.1248 0.2835 0.2958
F5 0.1285 0.2972 0.9533
F6 0.1616 0.2138 0.7766
F7 0.2473 0.4408 0.5901
```

No. 2
Structure and theoretical powder diffractogram of BaCaVF7 (a crystal structure in the Materials Project, relaxed with GGA+U; Cu Kα (λ = 1.5418 Å)).
Neutral-atom scattering factors, no anomalous dispersion.

Top 6 peaks for 2θ from 15° to 90°, low angle first:
- 2θ = 24.19°, intensity 100, hkl 1 2 -1
- 2θ = 24.59°, intensity 85, hkl 1 1 -2
- 2θ = 25.36°, intensity 71, hkl 1 1 2
- 2θ = 28.02°, intensity 32, hkl 0 1 3
- 2θ = 36.93°, intensity 30, hkl 0 3 3
- 2θ = 38.34°, intensity 44, hkl 1 4 1

Atomic structure:
```
data_BaCaVF7
_chemical_formula_sum 'Ba4 Ca4 V4 F28'
_space_group_name_H-M_alt 'P 1 21/c 1'
_space_group_IT_number 14
_cell_length_a 5.7753
_cell_length_b 10.6807
_cell_length_c 10.0131
_cell_angle_alpha 90.00
_cell_angle_beta 91.95
_cell_angle_gamma 90.00
loop_
_space_group_symop_operation_xyz
'x,y,z'
'-x,-y,-z'
'-x,y+1/2,-z+1/2'
'x,-y+1/2,z+1/2'
loop_
_atom_site_label
_atom_site_fract_x
_atom_site_fract_y
_atom_site_fract_z
Ba1 0.2347 0.1658 0.4929
Ca1 0.2098 0.5885 0.3265
V1 0.3078 0.6241 0.6940
F1 0.0329 0.7100 0.7642
F2 0.1004 0.5374 0.1221
F3 0.1544 0.0334 0.1293
F4 0.2105 0.7042 0.5214
F5 0.4024 0.0860 0.8956
F6 0.4189 0.5383 0.8560
F7 0.4903 0.7239 0.2596
```

No. 3
Structure and theoretical powder diffractogram of BaCaFe4O7 (a crystal structure in the Materials Project, relaxed with GGA+U; Cu Kα (λ = 1.5418 Å)).
Neutral-atom scattering factors, no anomalous dispersion.

Top 6 peaks for 2θ from 15° to 90°, low angle first:
- 2θ = 29.86°, intensity 46, hkl 1 1 -3
- 2θ = 30.20°, intensity 84, hkl 0 2 3
- 2θ = 32.48°, intensity 70, hkl 1 3 -2
- 2θ = 32.65°, intensity 100, hkl 2 2 -1
- 2θ = 32.84°, intensity 50, hkl 2 2 1
- 2θ = 33.39°, intensity 55, hkl 0 4 1

Atomic structure:
```
data_BaCaFe4O7
_chemical_formula_sum 'Ba4 Ca4 Fe16 O28'
_space_group_name_H-M_alt 'C 1 c 1'
_space_group_IT_number 9
_cell_length_a 6.5908
_cell_length_b 11.1043
_cell_length_c 10.4920
_cell_angle_alpha 90.00
_cell_angle_beta 90.79
_cell_angle_gamma 90.00
loop_
_space_group_symop_operation_xyz
'x,y,z'
'x,-y,z+1/2'
'x+1/2,y+1/2,z'
'x+1/2,-y+1/2,z+1/2'
loop_
_atom_site_label
_atom_site_fract_x
_atom_site_fract_y
_atom_site_fract_z
Ba1 0.0000 0.1676 0.0000
Ca1 0.4978 0.3341 0.1242
Fe1 0.0268 0.3306 0.3168
Fe2 0.2041 0.0788 0.3278
Fe3 0.2379 0.4027 0.8176
Fe4 0.4949 0.0013 0.5593
O1 0.0029 0.4983 0.7619
O2 0.0840 0.3358 0.4948
O3 0.2085 0.3844 0.9958
O4 0.2110 0.0367 0.5092
O5 0.2464 0.2407 0.2487
O6 0.2681 0.2379 0.7625
O7 0.4566 0.5005 0.2635
```

No. 4
Structure and theoretical powder diffractogram of BaCaFe4O12 (a crystal structure in the Materials Project, relaxed with GGA+U; Cu Kα (λ = 1.5418 Å)).
Neutral-atom scattering factors, no anomalous dispersion.

Top 6 peaks for 2θ from 15° to 90°, low angle first:
- 2θ = 19.90°, intensity 61, hkl 1 0 1
- 2θ = 32.78°, intensity 100, hkl 2 0 0
- 2θ = 38.65°, intensity 32, hkl 2 1 1
- 2θ = 47.04°, intensity 52, hkl 2 2 0
- 2θ = 58.52°, intensity 37, hkl 2 0 4
- 2θ = 68.72°, intensity 28, hkl 4 0 0

Atomic structure:
```
data_BaCaFe4O12
_chemical_formula_sum 'Ba1 Ca1 Fe4 O12'
_space_group_name_H-M_alt 'P 4/m m m'
_space_group_IT_number 123
_space_group_name_Hall '-P 4 2'
_cell_length_a 5.4655
_cell_length_b 5.4655
_cell_length_c 7.7227
_cell_angle_alpha 90.00
_cell_angle_beta 90.00
_cell_angle_gamma 90.00
loop_
_atom_site_label
_atom_site_fract_x
_atom_site_fract_y
_atom_site_fract_z
Ba1 0.0000 0.0000 0.0000
Ca1 0.5000 0.5000 0.5000
Fe1 0.0000 0.5000 0.2525
O1 0.0000 0.5000 0.0000
O2 0.0000 0.5000 0.5000
O3 0.2574 0.2574 0.2606
```

No. 5
Structure and theoretical powder diffractogram of BaCaSmFeO6 (a crystal structure in the Materials Project, relaxed with GGA+U; Cu Kα (λ = 1.5418 Å)).
Neutral-atom scattering factors, no anomalous dispersion.

Top 6 peaks for 2θ from 15° to 90°, low angle first:
- 2θ = 21.87°, intensity 19, hkl 2 0 0
- 2θ = 31.12°, intensity 100, hkl 2 2 0
- 2θ = 38.36°, intensity 23, hkl 2 2 2
- 2θ = 44.58°, intensity 33, hkl 4 0 0
- 2θ = 55.36°, intensity 38, hkl 4 2 2
- 2θ = 64.88°, intensity 19, hkl 4 4 0

Atomic structure:
```
data_BaCaSmFeO6
_chemical_formula_sum 'Ba4 Ca4 Sm4 Fe4 O24'
_space_group_name_H-M_alt 'F -4 3 m'
_space_group_IT_number 216
_space_group_name_Hall 'F -4 2 3'
_cell_length_a 8.1295
_cell_length_b 8.1295
_cell_length_c 8.1295
_cell_angle_alpha 90.00
_cell_angle_beta 90.00
_cell_angle_gamma 90.00
loop_
_atom_site_label
_atom_site_fract_x
_atom_site_fract_y
_atom_site_fract_z
Ba1 0.0000 0.0000 0.0000
Ca1 0.2500 0.2500 0.7500
Sm1 0.0000 0.0000 0.5000
Fe1 0.2500 0.2500 0.2500
O1 0.0202 0.2500 0.2500
```

No. 6
Structure and theoretical powder diffractogram of BaCaSmFeO6 (a crystal structure in the Materials Project, relaxed with GGA+U; Cu Kα (λ = 1.5418 Å)).
Neutral-atom scattering factors, no anomalous dispersion.

Top 6 peaks for 2θ from 15° to 90°, low angle first:
- 2θ = 18.56°, intensity 24, hkl 1 1 1
- 2θ = 30.54°, intensity 100, hkl 2 2 0
- 2θ = 43.73°, intensity 33, hkl 4 0 0
- 2θ = 54.28°, intensity 38, hkl 4 2 2
- 2θ = 63.57°, intensity 20, hkl 4 4 0
- 2θ = 88.34°, intensity 21, hkl 6 4 2

Atomic structure:
```
data_BaCaSmFeO6
_chemical_formula_sum 'Ba4 Ca4 Sm4 Fe4 O24'
_space_group_name_H-M_alt 'F -4 3 m'
_space_group_IT_number 216
_space_group_name_Hall 'F -4 2 3'
_cell_length_a 8.2793
_cell_length_b 8.2793
_cell_length_c 8.2793
_cell_angle_alpha 90.00
_cell_angle_beta 90.00
_cell_angle_gamma 90.00
loop_
_atom_site_label
_atom_site_fract_x
_atom_site_fract_y
_atom_site_fract_z
Ba1 0.0000 0.0000 0.0000
Ca1 0.0000 0.0000 0.5000
Sm1 0.2500 0.2500 0.7500
Fe1 0.2500 0.2500 0.2500
O1 0.0218 0.2500 0.2500
```